This entry pairs a crystal structure of LiV3O8 with its simulated powder diffraction line list. Radiation: λ = 1.5418 Å (Cu Kα). Structure: a crystal structure in Alexandria, relaxed with PBE+U.
Kinematic intensities with the Lorentz-polarization factor, no thermal factor.

Top 12 peaks for 10 to 80 degrees two-theta, in order of rising 2θ:
index, Position (°2θ), I (rel.)
1 0 0, 13.03, 1000
0 0 2, 14.58, 89
0 0 3, 21.95, 146
2 0 -2, 26.49, 111
1 1 -1, 27.89, 585
1 0 3, 28.47, 210
2 0 3, 38.83, 155
2 0 -5, 39.52, 168
0 2 0, 50.19, 167
3 1 2, 53.09, 65
3 1 -6, 58.36, 64
1 0 -8, 58.70, 88

Structure:
a = 7.0397 Å, b = 3.6356 Å, c = 12.5935 Å
α = 90.00°, β = 105.24°, γ = 90.00°
Space group Pm (No. 6)
Symmetry-distinct sites (fractional):
Li 0.0000 0.0000 0.0000 (multiplicity 1)
Li 0.0556 0.0000 0.2640 (multiplicity 1)
V 0.4269 0.0000 0.2276 (multiplicity 1)
V 0.4606 0.5000 0.8472 (multiplicity 1)
V 0.5427 0.0000 0.4971 (multiplicity 1)
V 0.6900 0.5000 0.1061 (multiplicity 1)
V 0.7353 0.0000 0.7516 (multiplicity 1)
V 0.8104 0.5000 0.3786 (multiplicity 1)
O 0.0141 0.5000 0.4728 (multiplicity 1)
O 0.2085 0.0000 0.1352 (multiplicity 1)
O 0.2359 0.5000 0.7765 (multiplicity 1)
O 0.3434 0.0000 0.3464 (multiplicity 1)
O 0.3797 0.0000 0.5656 (multiplicity 1)
O 0.4614 0.5000 0.9916 (multiplicity 1)
O 0.5050 0.5000 0.2262 (multiplicity 1)
O 0.5466 0.0000 0.8465 (multiplicity 1)
O 0.5968 0.5000 0.4680 (multiplicity 1)
O 0.6451 0.5000 0.7497 (multiplicity 1)
O 0.6475 0.0000 0.1336 (multiplicity 1)
O 0.7282 0.0000 0.3642 (multiplicity 1)
O 0.7699 0.0000 0.6177 (multiplicity 1)
O 0.8579 0.5000 0.0339 (multiplicity 1)
O 0.8986 0.5000 0.2526 (multiplicity 1)
O 0.9510 0.0000 0.8408 (multiplicity 1)